PaB2O5: calculated powder diffractogram (Cu Kα (weighted mean of Kα1 and Kα2)), based on a crystal structure in Alexandria, relaxed with PBE.
Lines closer than 0.1° are merged.

Main lines, sorted by position (2θ from 10° to 90°):
- hkl 0 0 1, 2θ 15.8, I 100
- hkl 1 1 0, 2θ 21.2, I 71
- hkl 0 2 0, 2θ 24.2, I 24
- hkl 1 1 -1, 2θ 25.1, I 45
- hkl 1 1 1, 2θ 28.0, I 47
- hkl 0 2 1, 2θ 29.0, I 40
- hkl 1 3 0, 2θ 40.7, I 41
- hkl 1 3 1, 2θ 44.9, I 25

Structural model:
Unit cell a=5.1394 b=7.3697 c=5.6430 alpha=90.00 beta=97.62 gamma=90.00
Atoms (fractional coordinates):
Pa (0.1909, 0.2500, 0.0347)
Pa (0.8091, 0.7500, 0.9653)
B (0.3642, 0.5781, 0.2507)
B (0.3642, 0.9219, 0.2507)
B (0.6358, 0.0781, 0.7493)
B (0.6358, 0.4219, 0.7493)
O (0.0960, 0.5614, 0.2110)
O (0.0960, 0.9386, 0.2110)
O (0.4866, 0.5717, 0.7635)
O (0.4866, 0.9283, 0.7635)
O (0.4929, 0.7500, 0.2587)
O (0.5071, 0.2500, 0.7413)
O (0.5134, 0.0717, 0.2365)
O (0.5134, 0.4283, 0.2365)
O (0.9040, 0.0614, 0.7890)
O (0.9040, 0.4386, 0.7890)